Entry 1:
The following is a computed powder diffractogram of ZnFeNi6. It was derived from a GGA-PBE-relaxed structure, using Cu Ka.
Intensities are scaled so that the largest is 100.

Principal peaks in the range 2θ = 10–80°, by angle:
2theta  I (rel.)
44.12  100
51.40  46
75.66  27

```
data_ZnFeNi6
_cell_length_a 7.1082
_cell_length_b 10.0615
_cell_length_c 10.0536
_cell_angle_alpha 90.00
_cell_angle_beta 90.00
_cell_angle_gamma 90.00
_space_group_name_H-M_alt 'C m m m'
_space_group_IT_number 65
_space_group_name_Hall '-C 2 2'
loop_
_atom_site_label
_atom_site_type_symbol
_atom_site_fract_x
_atom_site_fract_y
_atom_site_fract_z
_atom_site_occupancy
Zn1 Zn 0.0000 0.0000 0.2498 1
Zn2 Zn 0.0000 0.2490 0.0000 1
Fe1 Fe 0.0000 0.2507 0.5000 1
Fe2 Fe 0.0000 0.5000 0.2486 1
Ni1 Ni 0.0000 0.0000 0.0000 1
Ni2 Ni 0.0000 0.0000 0.5000 1
Ni3 Ni 0.0000 0.2516 0.2534 1
Ni4 Ni 0.0000 0.5000 0.0000 1
Ni5 Ni 0.0000 0.5000 0.5000 1
Ni6 Ni 0.2474 0.3742 0.3767 1
Ni7 Ni 0.2470 0.3757 0.1269 1
```


Entry 2:
The following is a computed powder diffractogram of YPd2Au3. It was derived from a GGA-PBE-relaxed structure, using Cu Ka.
Intensities are scaled so that the largest is 100.

Principal peaks in the range 2θ = 10–80°, by angle:
2theta  I (rel.)
35.18  78
35.71  41
36.55  100
37.92  69
38.98  61
41.63  39

```
data_YPd2Au3
_cell_length_a 6.8166
_cell_length_b 8.1271
_cell_length_c 8.3549
_cell_angle_alpha 90.00
_cell_angle_beta 97.78
_cell_angle_gamma 90.00
_space_group_name_H-M_alt 'C 1 2/c 1'
_space_group_IT_number 15
loop_
_space_group_symop_operation_xyz
'x,y,z'
'-x,-y,-z'
'-x,y,-z+1/2'
'x,-y,z+1/2'
'x+1/2,y+1/2,z'
'-x+1/2,-y+1/2,-z'
'-x+1/2,y+1/2,-z+1/2'
'x+1/2,-y+1/2,z+1/2'
loop_
_atom_site_label
_atom_site_type_symbol
_atom_site_fract_x
_atom_site_fract_y
_atom_site_fract_z
_atom_site_occupancy
Y1 Y 0.0000 0.1340 0.2500 1
Pd1 Pd 0.1353 0.1991 0.6269 1
Au1 Au 0.0000 0.4946 0.7500 1
Au2 Au 0.2416 0.4164 0.0281 1
```


Entry 3:
The following is a computed powder diffractogram of FeCo6. It was derived from a GGA-PBE-relaxed structure, using Cu Ka.
Intensities are scaled so that the largest is 100.

Principal peaks in the range 2θ = 10–80°, by angle:
2theta  I (rel.)
45.35  51
45.60  100
66.08  15
66.86  7

```
data_FeCo6
_cell_length_a 8.4807
_cell_length_b 3.9976
_cell_length_c 4.6476
_cell_angle_alpha 90.00
_cell_angle_beta 96.15
_cell_angle_gamma 90.00
_space_group_name_H-M_alt 'C 1 2/m 1'
_space_group_IT_number 12
loop_
_space_group_symop_operation_xyz
'x,y,z'
'-x,-y,-z'
'-x,y,-z'
'x,-y,z'
'x+1/2,y+1/2,z'
'-x+1/2,-y+1/2,-z'
'-x+1/2,y+1/2,-z'
'x+1/2,-y+1/2,z'
loop_
_atom_site_label
_atom_site_type_symbol
_atom_site_fract_x
_atom_site_fract_y
_atom_site_fract_z
_atom_site_occupancy
Fe1 Fe 0.0000 0.0000 0.0000 1
Co1 Co 0.0711 0.5000 0.2825 1
Co2 Co 0.1420 0.0000 0.5810 1
Co3 Co 0.2194 0.5000 0.8516 1
```


Entry 4:
The following is a computed powder diffractogram of LiNi2P2. It was derived from a GGA-PBE-relaxed structure, using Cu Ka.
Intensities are scaled so that the largest is 100.

Principal peaks in the range 2θ = 10–80°, by angle:
2theta  I (rel.)
21.77  100
39.84  17
42.10  17
48.56  16
51.25  22
51.58  30

```
data_LiNi2P2
_cell_length_a 4.9251
_cell_length_b 9.0512
_cell_length_c 6.6491
_cell_angle_alpha 90.00
_cell_angle_beta 111.65
_cell_angle_gamma 90.00
_space_group_name_H-M_alt 'C 1 2/c 1'
_space_group_IT_number 15
loop_
_space_group_symop_operation_xyz
'x,y,z'
'-x,-y,-z'
'-x,y,-z+1/2'
'x,-y,z+1/2'
'x+1/2,y+1/2,z'
'-x+1/2,-y+1/2,-z'
'-x+1/2,y+1/2,-z+1/2'
'x+1/2,-y+1/2,z+1/2'
loop_
_atom_site_label
_atom_site_type_symbol
_atom_site_fract_x
_atom_site_fract_y
_atom_site_fract_z
_atom_site_occupancy
Li1 Li 0.0000 0.1251 0.2500 1
Ni1 Ni 0.1021 0.3749 0.9545 1
P1 P 0.0000 0.1740 0.7500 1
P2 P 0.0000 0.4243 0.2500 1
```


Entry 5:
The following is a computed powder diffractogram of Tb3SmIr3. It was derived from a GGA-PBE-relaxed structure, using Cu Ka.
Intensities are scaled so that the largest is 100.

Principal peaks in the range 2θ = 10–80°, by angle:
2theta  I (rel.)
36.72  100
37.01  98
53.12  35
66.13  18
66.32  36
66.88  18

```
data_Tb3SmIr3
_cell_length_a 9.7890
_cell_length_b 9.7890
_cell_length_c 5.9284
_cell_angle_alpha 90.00
_cell_angle_beta 90.00
_cell_angle_gamma 120.00
_space_group_name_H-M_alt 'R -3 m'
_space_group_IT_number 166
_space_group_name_Hall '-R 3 2"'
loop_
_atom_site_label
_atom_site_type_symbol
_atom_site_fract_x
_atom_site_fract_y
_atom_site_fract_z
_atom_site_occupancy
Tb1 Tb 0.0000 0.5000 0.0000 1
Sm1 Sm 0.0000 0.0000 0.0000 1
Ir1 Ir 0.0000 0.5000 0.5000 1
```


Entry 6:
The following is a computed powder diffractogram of Ni7Pd2Pt. It was derived from a GGA-PBE-relaxed structure, using Cu Ka.
Intensities are scaled so that the largest is 100.

Principal peaks in the range 2θ = 10–80°, by angle:
2theta  I (rel.)
28.53  51
36.01  90
40.64  77
43.83  67
46.43  100
50.41  38

```
data_Ni7Pd2Pt
_cell_length_a 6.2577
_cell_length_b 16.5213
_cell_length_c 2.6313
_cell_angle_alpha 90.00
_cell_angle_beta 90.08
_cell_angle_gamma 90.00
_space_group_name_H-M_alt 'C 1 2/m 1'
_space_group_IT_number 12
loop_
_space_group_symop_operation_xyz
'x,y,z'
'-x,-y,-z'
'-x,y,-z'
'x,-y,z'
'x+1/2,y+1/2,z'
'-x+1/2,-y+1/2,-z'
'-x+1/2,y+1/2,-z'
'x+1/2,-y+1/2,z'
loop_
_atom_site_label
_atom_site_type_symbol
_atom_site_fract_x
_atom_site_fract_y
_atom_site_fract_z
_atom_site_occupancy
Ni1 Ni 0.0000 0.0000 0.0000 1
Ni2 Ni 0.0000 0.1234 0.5000 1
Ni3 Ni 0.1915 0.3878 0.9986 1
Pd1 Pd 0.0000 0.2533 0.0000 1
Pt1 Pt 0.0000 0.5000 0.5000 1
```


Entry 7:
The following is a computed powder diffractogram of BeZnRu2. It was derived from a GGA-PBE-relaxed structure, using Cu Ka.
Intensities are scaled so that the largest is 100.

Principal peaks in the range 2θ = 10–80°, by angle:
2theta  I (rel.)
31.50  30
34.79  35
43.38  100
45.14  52
65.04  17
65.75  16

```
data_BeZnRu2
_cell_length_a 2.8405
_cell_length_b 2.8405
_cell_length_c 6.1447
_cell_angle_alpha 90.00
_cell_angle_beta 90.00
_cell_angle_gamma 90.00
_space_group_name_H-M_alt 'P 4/m m m'
_space_group_IT_number 123
_space_group_name_Hall '-P 4 2'
loop_
_atom_site_label
_atom_site_type_symbol
_atom_site_fract_x
_atom_site_fract_y
_atom_site_fract_z
_atom_site_occupancy
Be1 Be 0.0000 0.0000 0.0000 1
Zn1 Zn 0.0000 0.0000 0.5000 1
Ru1 Ru 0.5000 0.5000 0.2127 1
```